For BaSrCr2F8, a PBE+U-relaxed structure gives the computed PXRD pattern in this record (copper Kα).
Kinematic intensities with the Lorentz-polarization factor, no thermal factor.

Largest 10 diffraction maxima, in order of rising 2θ, 10 to 90 degrees two-theta:
(hkl)	Position (°2θ)	I_rel
0 0 1	11.6	19.8
1 0 0	15.9	100.0
0 1 1	19.7	49.5
1 1 0	27.8	94.1
0 1 2	28.3	77.8
1 1 1	30.2	19.5
1 1 2	36.6	32.1
2 0 2	40.1	59.9
1 2 2	49.5	43.1
2 2 0	57.4	21.9

Structural model:
Lattice parameters (Å, degrees): 6.420 6.420 7.642 90.00 90.00 120.00
Atoms (fractional coordinates):
1 Ba 0.000 0.000 0.000
2 Sr 0.000 0.000 0.500
3 Cr 0.333 0.667 0.204
4 Cr 0.667 0.333 0.796
5 F 0.154 0.307 0.275
6 F 0.154 0.846 0.275
7 F 0.307 0.154 0.725
8 F 0.333 0.667 0.955
9 F 0.667 0.333 0.045
10 F 0.693 0.846 0.275
11 F 0.846 0.154 0.725
12 F 0.846 0.693 0.725